1.
K3GaI6: theoretical X-ray powder pattern (Cu Kα (weighted mean of Kα1 and Kα2)), based on the GGA-PBE geometry in Alexandria.

Cell and atoms:
```
data_K3GaI6
_symmetry_space_group_name_H-M 'C m c 21'
_symmetry_Int_Tables_number 36
_symmetry_space_group_name_Hall 'C 2c -2'
_cell_length_a 14.3700
_cell_length_b 17.6225
_cell_length_c 8.9180
_cell_angle_alpha 90.00
_cell_angle_beta 90.00
_cell_angle_gamma 90.00
loop_
_atom_site_label
_atom_site_fract_x
_atom_site_fract_y
_atom_site_fract_z
K1 0.0000 0.0567 0.0000
K2 0.2285 0.3925 0.9127
Ga1 0.0000 0.3025 0.2218
I1 0.0000 0.3117 0.5076
I2 0.0000 0.4340 0.0893
I3 0.1448 0.2271 0.1237
I4 0.1681 0.0355 0.7224
```

The 10 most intense peaks (15° ≤ 2θ ≤ 90°), in order of rising 2θ:
d (Å), I/Imax
5.437, 25
4.628, 100
4.459, 36
4.104, 32
3.950, 59
3.427, 99
3.209, 40
2.872, 26
2.794, 27
2.394, 37

2.
KGa2I3: theoretical X-ray powder pattern (Cu Kα (weighted mean of Kα1 and Kα2)), based on the GGA-PBE geometry in Alexandria.

Cell and atoms:
```
data_KGa2I3
_symmetry_space_group_name_H-M 'I 4/m m m'
_symmetry_Int_Tables_number 139
_symmetry_space_group_name_Hall '-I 4 2'
_cell_length_a 4.8237
_cell_length_b 4.8237
_cell_length_c 20.5090
_cell_angle_alpha 90.00
_cell_angle_beta 90.00
_cell_angle_gamma 90.00
loop_
_atom_site_label
_atom_site_fract_x
_atom_site_fract_y
_atom_site_fract_z
K1 0.0000 0.0000 0.0000
Ga1 0.0000 0.0000 0.3314
I1 0.0000 0.0000 0.1733
I2 0.0000 0.0000 0.5000
```

The 10 most intense peaks (15° ≤ 2θ ≤ 90°), in order of rising 2θ:
d (Å), I/Imax
3.941, 21
3.413, 100
2.414, 76
2.058, 10
1.971, 27
1.705, 9
1.527, 22
1.525, 12
1.393, 25
1.138, 13

3.
KMgGaI4: theoretical X-ray powder pattern (Cu Kα (weighted mean of Kα1 and Kα2)), based on the GGA-PBE geometry in Alexandria.

Cell and atoms:
```
data_KMgGaI4
_symmetry_space_group_name_H-M 'P 1 21/m 1'
_symmetry_Int_Tables_number 11
_symmetry_space_group_name_Hall '-P 2yb'
_cell_length_a 8.0133
_cell_length_b 8.4018
_cell_length_c 9.5419
_cell_angle_alpha 90.00
_cell_angle_beta 107.13
_cell_angle_gamma 90.00
loop_
_atom_site_label
_atom_site_fract_x
_atom_site_fract_y
_atom_site_fract_z
K1 0.2265 0.2500 0.0470
Mg1 0.2438 0.7500 0.3190
Ga1 0.2284 0.2500 0.5377
I1 0.0154 0.0030 0.2625
I2 0.4477 0.7500 0.1358
I3 0.4585 0.7500 0.6006
```

The 10 most intense peaks (15° ≤ 2θ ≤ 90°), in order of rising 2θ:
d (Å), I/Imax
4.005, 25
3.828, 26
3.683, 100
3.485, 72
3.220, 71
3.088, 70
2.386, 31
2.182, 45
2.100, 19
2.002, 32

4.
KTaGaI2: theoretical X-ray powder pattern (Cu Kα (weighted mean of Kα1 and Kα2)), based on the GGA-PBE geometry in Alexandria.

Cell and atoms:
```
data_KTaGaI2
_symmetry_space_group_name_H-M 'P 4/m m m'
_symmetry_Int_Tables_number 123
_symmetry_space_group_name_Hall '-P 4 2'
_cell_length_a 5.4537
_cell_length_b 5.4537
_cell_length_c 7.0546
_cell_angle_alpha 90.00
_cell_angle_beta 90.00
_cell_angle_gamma 90.00
loop_
_atom_site_label
_atom_site_fract_x
_atom_site_fract_y
_atom_site_fract_z
K1 0.0000 0.0000 0.0000
Ta1 0.0000 0.0000 0.5000
Ga1 0.5000 0.5000 0.0000
I1 0.0000 0.5000 0.5000
```

The 10 most intense peaks (15° ≤ 2θ ≤ 90°), in order of rising 2θ:
d (Å), I/Imax
5.454, 34
4.315, 81
3.527, 84
3.384, 37
2.727, 85
2.543, 47
2.305, 32
2.158, 100
1.692, 53
1.480, 34

5.
K2TmGaI6: theoretical X-ray powder pattern (Cu Kα (weighted mean of Kα1 and Kα2)), based on the GGA-PBE geometry in Alexandria.

Cell and atoms:
```
data_K2TmGaI6
_symmetry_space_group_name_H-M 'R 3'
_symmetry_Int_Tables_number 146
_symmetry_space_group_name_Hall 'R 3'
_cell_length_a 8.5239
_cell_length_b 8.5239
_cell_length_c 21.6319
_cell_angle_alpha 90.00
_cell_angle_beta 90.00
_cell_angle_gamma 120.00
loop_
_atom_site_label
_atom_site_fract_x
_atom_site_fract_y
_atom_site_fract_z
K1 0.0000 0.0000 0.0000
K2 0.0000 0.0000 0.4910
Tm1 0.0000 0.0000 0.7017
Ga1 0.0000 0.0000 0.2076
I1 0.0158 0.4097 0.4462
I2 0.0761 0.7169 0.2849
```

The 10 most intense peaks (15° ≤ 2θ ≤ 90°), in order of rising 2θ:
d (Å), I/Imax
3.669, 100
3.049, 48
2.767, 18
2.753, 54
2.461, 30
2.094, 22
2.038, 19
2.012, 16
1.708, 16
1.616, 16

6.
LaGa2I5: theoretical X-ray powder pattern (Cu Kα (weighted mean of Kα1 and Kα2)), based on the GGA-PBE geometry in Alexandria.

Cell and atoms:
```
data_LaGa2I5
_symmetry_space_group_name_H-M 'C 1 2/c 1'
_symmetry_Int_Tables_number 15
_symmetry_space_group_name_Hall '-C 2yc'
_cell_length_a 16.0057
_cell_length_b 8.3222
_cell_length_c 11.8300
_cell_angle_alpha 90.00
_cell_angle_beta 113.01
_cell_angle_gamma 90.00
loop_
_atom_site_label
_atom_site_fract_x
_atom_site_fract_y
_atom_site_fract_z
La1 0.0000 0.0000 0.0000
Ga1 0.1107 0.4772 0.2032
I1 0.0000 0.1629 0.7500
I2 0.0901 0.3216 0.4571
I3 0.1893 0.1629 0.1453
```

The 10 most intense peaks (15° ≤ 2θ ≤ 90°), in order of rising 2θ:
d (Å), I/Imax
5.533, 33
3.655, 99
3.559, 100
3.528, 98
2.815, 64
2.778, 56
2.749, 57
2.370, 88
2.280, 43
2.008, 29

7.
LaPrGaI: theoretical X-ray powder pattern (Cu Kα (weighted mean of Kα1 and Kα2)), based on the GGA-PBE geometry in Alexandria.

Cell and atoms:
```
data_LaPrGaI
_symmetry_space_group_name_H-M 'C 1 m 1'
_symmetry_Int_Tables_number 8
_symmetry_space_group_name_Hall 'C -2y'
_cell_length_a 6.6403
_cell_length_b 4.6502
_cell_length_c 8.5023
_cell_angle_alpha 90.00
_cell_angle_beta 101.31
_cell_angle_gamma 90.00
loop_
_atom_site_label
_atom_site_fract_x
_atom_site_fract_y
_atom_site_fract_z
La1 0.0000 0.0000 0.0000
Pr1 0.3555 0.5000 0.4286
Ga1 0.4276 0.0000 0.2143
I1 0.0658 0.5000 0.7128
```

The 10 most intense peaks (15° ≤ 2θ ≤ 90°), in order of rising 2θ:
d (Å), I/Imax
3.784, 18
3.307, 29
3.256, 28
2.976, 100
2.850, 43
2.655, 44
2.325, 29
1.995, 31
1.802, 22
1.285, 15

8.
LiGaI2: theoretical X-ray powder pattern (Cu Kα (weighted mean of Kα1 and Kα2)), based on the GGA-PBE geometry in Alexandria.

Cell and atoms:
```
data_LiGaI2
_symmetry_space_group_name_H-M 'P 32 2 1'
_symmetry_Int_Tables_number 154
_symmetry_space_group_name_Hall 'P 32 2"'
_cell_length_a 4.4096
_cell_length_b 4.4096
_cell_length_c 22.8117
_cell_angle_alpha 90.00
_cell_angle_beta 90.00
_cell_angle_gamma 120.00
loop_
_atom_site_label
_atom_site_fract_x
_atom_site_fract_y
_atom_site_fract_z
Li1 0.0000 0.9971 0.3333
Ga1 0.0000 0.0009 0.8333
I1 0.3325 0.6643 0.4068
```

The 10 most intense peaks (15° ≤ 2θ ≤ 90°), in order of rising 2θ:
d (Å), I/Imax
3.802, 10
3.413, 100
2.694, 44
2.205, 30
2.112, 16
1.852, 17
1.706, 11
1.440, 10
1.418, 14
1.349, 10

9.
LiGaI2: theoretical X-ray powder pattern (Cu Kα (weighted mean of Kα1 and Kα2)), based on the GGA-PBE geometry in Alexandria.

Cell and atoms:
```
data_LiGaI2
_symmetry_space_group_name_H-M 'P 21 21 21'
_symmetry_Int_Tables_number 19
_symmetry_space_group_name_Hall 'P 2ac 2ab'
_cell_length_a 4.4044
_cell_length_b 7.7091
_cell_length_c 16.9816
_cell_angle_alpha 90.00
_cell_angle_beta 90.00
_cell_angle_gamma 90.00
loop_
_atom_site_label
_atom_site_fract_x
_atom_site_fract_y
_atom_site_fract_z
Li1 0.0001 0.1154 0.0516
Ga1 0.0073 0.3453 0.6786
I1 0.9997 0.4665 0.3010
I2 0.0005 0.4783 0.0395
```

The 10 most intense peaks (15° ≤ 2θ ≤ 90°), in order of rising 2θ:
d (Å), I/Imax
4.563, 21
4.257, 23
3.855, 34
3.721, 55
3.169, 100
2.858, 46
2.690, 17
2.202, 33
2.198, 24
1.861, 22

10.
LiNpGaI6: theoretical X-ray powder pattern (Cu Kα (weighted mean of Kα1 and Kα2)), based on the GGA-PBE geometry in Alexandria.

Cell and atoms:
```
data_LiNpGaI6
_symmetry_space_group_name_H-M 'C m m 2'
_symmetry_Int_Tables_number 35
_symmetry_space_group_name_Hall 'C 2 -2'
_cell_length_a 10.4403
_cell_length_b 10.4451
_cell_length_c 13.6088
_cell_angle_alpha 90.00
_cell_angle_beta 90.00
_cell_angle_gamma 90.00
loop_
_atom_site_label
_atom_site_fract_x
_atom_site_fract_y
_atom_site_fract_z
Li1 0.0000 0.0000 0.0000
Li2 0.0000 0.5000 0.4992
Np1 0.0000 0.0000 0.6737
Np2 0.0000 0.5000 0.1735
Ga1 0.0000 0.0000 0.3391
Ga2 0.0000 0.5000 0.8388
I1 0.0000 0.2894 0.6640
I2 0.0000 0.2997 0.0141
I3 0.0000 0.3089 0.3405
I4 0.1910 0.0000 0.8407
I5 0.2004 0.0000 0.5143
I6 0.2104 0.0000 0.1639
```

The 10 most intense peaks (15° ≤ 2θ ≤ 90°), in order of rising 2θ:
d (Å), I/Imax
5.221, 43
3.424, 100
3.302, 34
2.670, 54
2.611, 34
2.268, 21
2.163, 50
2.077, 27
1.405, 22
1.313, 20

11.
Li4Ga3Si3IO12: theoretical X-ray powder pattern (Cu Kα (weighted mean of Kα1 and Kα2)), based on the GGA-PBE geometry in Alexandria.

Cell and atoms:
```
data_Li4Ga3Si3IO12
_symmetry_space_group_name_H-M 'P -4 3 n'
_symmetry_Int_Tables_number 218
_symmetry_space_group_name_Hall 'P -4n 2 3'
_cell_length_a 8.7450
_cell_length_b 8.7450
_cell_length_c 8.7450
_cell_angle_alpha 90.00
_cell_angle_beta 90.00
_cell_angle_gamma 90.00
loop_
_atom_site_label
_atom_site_fract_x
_atom_site_fract_y
_atom_site_fract_z
Li1 0.1887 0.1887 0.1887
Ga1 0.0000 0.2500 0.5000
Si1 0.0000 0.5000 0.2500
I1 0.0000 0.0000 0.0000
O1 0.0911 0.3699 0.6486
```

The 10 most intense peaks (15° ≤ 2θ ≤ 90°), in order of rising 2θ:
d (Å), I/Imax
4.372, 30
3.570, 100
2.524, 13
2.337, 43
1.955, 14
1.864, 14
1.597, 13
1.546, 19
1.419, 16
1.190, 12

12.
MgGa4I6: theoretical X-ray powder pattern (Cu Kα (weighted mean of Kα1 and Kα2)), based on the GGA-PBE geometry in Alexandria.

Cell and atoms:
```
data_MgGa4I6
_symmetry_space_group_name_H-M 'P 1'
_symmetry_Int_Tables_number 1
_symmetry_space_group_name_Hall 'P 1'
_cell_length_a 8.5133
_cell_length_b 8.5253
_cell_length_c 14.9523
_cell_angle_alpha 79.17
_cell_angle_beta 79.30
_cell_angle_gamma 60.86
loop_
_atom_site_label
_atom_site_fract_x
_atom_site_fract_y
_atom_site_fract_z
Mg1 0.0000 0.0000 0.0000
Mg2 0.4079 0.5935 0.4999
Ga1 0.0675 0.7978 0.7751
Ga2 0.1389 0.3258 0.0246
Ga3 0.2058 0.6594 0.2738
Ga4 0.4010 0.2027 0.7053
Ga5 0.6110 0.9927 0.2056
Ga6 0.6461 0.5404 0.9113
Ga7 0.7353 0.7304 0.5242
Ga8 0.9497 0.2369 0.4126
I1 0.0137 0.1807 0.8276
I2 0.1675 0.4663 0.4990
I3 0.2209 0.3100 0.2214
I4 0.2432 0.9196 0.5670
I5 0.3275 0.8357 0.0666
I6 0.4051 0.3968 0.8655
I7 0.5872 0.6069 0.3274
I8 0.6834 0.3401 0.6005
I9 0.7200 0.8124 0.7207
I10 0.7477 0.2755 0.1002
I11 0.8060 0.9973 0.3658
I12 0.8744 0.7588 0.9988
```

The 10 most intense peaks (15° ≤ 2θ ≤ 90°), in order of rising 2θ:
d (Å), I/Imax
3.871, 60
3.833, 49
3.714, 63
3.694, 59
3.582, 100
3.536, 59
3.457, 71
2.617, 61
2.593, 61
2.393, 42